Calculated powder diffractogram of Li4MnCo3O8 for Cu Kα, from DFT lattice parameters and positions (GGA+U).

Most intense lines, 10 to 90 degrees two-theta, in order of rising 2θ:
2θ/deg  I/Imax
18.19  100.0
34.29  19.2
35.94  13.0
36.62  11.5
41.31  29.9
43.59  24.8
44.52  23.1
61.35  7.5

```
Li4MnCo3O8
1.0
5.0127 0.0000 0.0000
1.6363 5.6577 0.0000
1.3777 2.5921 5.2134
Li Mn Co O
4 1 3 8
direct
0.0000 0.0000 0.0000 Li
0.0000 0.5000 0.5000 Li
0.4931 0.2540 0.7485 Li
0.5069 0.7460 0.2515 Li
0.0000 0.0000 0.5000 Mn
0.0000 0.5000 0.0000 Co
0.4991 0.2525 0.2475 Co
0.5009 0.7475 0.7525 Co
0.2483 0.6147 0.1088 O
0.2524 0.6513 0.6180 O
0.2526 0.1165 0.6098 O
0.2525 0.1595 0.1105 O
0.7475 0.8405 0.8895 O
0.7474 0.8835 0.3902 O
0.7476 0.3487 0.3820 O
0.7517 0.3853 0.8912 O
```

Calculated powder diffractogram of Li7Mn2Co3O12 for Cu Kα, from DFT lattice parameters and positions (GGA+U).

Most intense lines, 10 to 90 degrees two-theta, in order of rising 2θ:
2θ/deg  I/Imax
18.19  100.0
36.01  25.0
36.23  12.5
43.33  57.6
43.96  26.1
56.90  9.8
63.01  14.7
63.85  14.3

```
Li7Mn2Co3O12
1.0
6.3825 -1.4598 0.0000
6.3825 1.4598 0.0000
-2.9969 0.0000 11.5738
Li Mn Co O
7 2 3 12
direct
0.0000 0.0000 0.0000 Li
0.9995 0.9995 0.4869 Li
0.3365 0.3365 0.8352 Li
0.3398 0.3398 0.3234 Li
0.6621 0.6621 0.1676 Li
0.6660 0.6660 0.6565 Li
0.9989 0.9989 0.2492 Li
0.6608 0.6608 0.4096 Mn
0.6674 0.6674 0.9132 Mn
0.3391 0.3391 0.5772 Co
0.3501 0.3501 0.0905 Co
0.9950 0.9950 0.7417 Co
0.1636 0.1636 0.8002 O
0.1678 0.1678 0.0197 O
0.1682 0.1682 0.3054 O
0.1713 0.1713 0.5260 O
0.4944 0.4944 0.1154 O
0.5027 0.5027 0.6286 O
0.5087 0.5087 0.8644 O
0.5130 0.5130 0.3754 O
0.8214 0.8214 0.9561 O
0.8281 0.8281 0.1928 O
0.8279 0.8279 0.4615 O
0.8381 0.8381 0.7002 O
```

Calculated powder diffractogram of Li4MnCo2O7 for Cu Kα, from DFT lattice parameters and positions (GGA+U).

Most intense lines, 10 to 90 degrees two-theta, in order of rising 2θ:
2θ/deg  I/Imax
18.30  100.0
34.24  19.2
35.95  13.0
36.80  11.5
41.13  34.8
43.68  28.2
44.97  24.9
62.56  15.6

```
Li4MnCo2O7
1.0
3.0280 0.0000 0.0000
1.0627 7.7512 0.0000
1.3580 1.8534 10.9383
Li Mn Co O
8 2 4 14
direct
0.0000 0.0000 0.0000 Li
0.0732 0.2141 0.6442 Li
0.2098 0.6419 0.9333 Li
0.3631 0.0673 0.2101 Li
0.5000 0.5000 0.5000 Li
0.6369 0.9327 0.7899 Li
0.7902 0.3581 0.0667 Li
0.9268 0.7859 0.3558 Li
0.1489 0.4313 0.2833 Mn
0.8511 0.5687 0.7167 Mn
0.2789 0.8578 0.5718 Co
0.4406 0.2718 0.8629 Co
0.5594 0.7282 0.1371 Co
0.7211 0.1422 0.4282 Co
0.0602 0.1208 0.8248 O
0.1286 0.3195 0.4548 O
0.1944 0.5442 0.1149 O
0.2140 0.7500 0.7436 O
0.3085 0.9680 0.4024 O
0.3912 0.1925 0.0189 O
0.4853 0.3889 0.6936 O
0.5147 0.6111 0.3064 O
0.6088 0.8075 0.9811 O
0.6915 0.0320 0.5976 O
0.7860 0.2500 0.2564 O
0.8056 0.4558 0.8851 O
0.8714 0.6805 0.5452 O
0.9398 0.8792 0.1752 O
```

Calculated powder diffractogram of Li7Mn2Co3O12 for Cu Kα, from DFT lattice parameters and positions (GGA+U).

Most intense lines, 10 to 90 degrees two-theta, in order of rising 2θ:
2θ/deg  I/Imax
11.73  8.1
18.30  100.0
35.77  14.9
36.00  13.6
36.45  11.5
43.32  58.5
44.21  26.5
47.50  9.0

```
Li7Mn2Co3O12
1.0
5.0537 0.0000 0.0000
1.7992 5.6289 0.0000
1.6476 1.1783 7.5417
Li Mn Co O
7 2 3 12
direct
0.0000 0.0000 0.0000 Li
0.9996 0.1668 0.3235 Li
0.0000 0.5000 0.0000 Li
0.0004 0.8332 0.6765 Li
0.4878 0.6723 0.8414 Li
0.5000 0.0000 0.5000 Li
0.5122 0.3277 0.1586 Li
0.0000 0.3317 0.6704 Mn
0.0000 0.6683 0.3296 Mn
0.4884 0.8443 0.1613 Co
0.5000 0.5000 0.5000 Co
0.5116 0.1557 0.8387 Co
0.2306 0.3489 0.4296 O
0.2382 0.0266 0.7408 O
0.2426 0.6619 0.1071 O
0.2483 0.4790 0.7409 O
0.2511 0.8012 0.4134 O
0.2752 0.1515 0.0857 O
0.7248 0.8485 0.9143 O
0.7489 0.1988 0.5866 O
0.7517 0.5210 0.2591 O
0.7574 0.3381 0.8929 O
0.7618 0.9734 0.2592 O
0.7694 0.6511 0.5704 O
```

Calculated powder diffractogram of Li7Mn2Co3O12 for Cu Kα, from DFT lattice parameters and positions (GGA+U).

Most intense lines, 10 to 90 degrees two-theta, in order of rising 2θ:
2θ/deg  I/Imax
18.37  100.0
33.87  21.5
36.52  11.8
37.00  15.0
40.51  38.3
44.50  27.6
45.23  25.6
66.05  10.0

```
Li7Mn2Co3O12
1.0
3.0273 0.0000 0.0000
-1.0205 7.4620 0.0000
-0.9341 -0.3708 9.6581
Li Mn Co O
7 2 3 12
direct
0.0000 0.0000 0.0000 Li
0.0842 0.4170 0.7534 Li
0.1700 0.8333 0.5071 Li
0.3275 0.6690 0.9987 Li
0.5024 0.4999 0.5112 Li
0.6648 0.3321 0.9970 Li
0.8403 0.1673 0.5052 Li
0.5888 0.9200 0.2535 Mn
0.9130 0.5809 0.2528 Mn
0.2512 0.2499 0.2532 Co
0.4286 0.0944 0.7549 Co
0.7403 0.7401 0.7513 Co
0.0544 0.1981 0.8688 O
0.1143 0.6353 0.6377 O
0.2309 0.0487 0.3693 O
0.2695 0.4514 0.1361 O
0.3943 0.8844 0.8622 O
0.4489 0.2662 0.6374 O
0.5655 0.7113 0.3706 O
0.5999 0.1272 0.1393 O
0.7209 0.5685 0.8690 O
0.7733 0.9491 0.6437 O
0.9052 0.3743 0.3688 O
0.9352 0.7894 0.1350 O
```

Calculated powder diffractogram of Li7Mn2Co3O12 for Cu Kα, from DFT lattice parameters and positions (GGA+U).

Most intense lines, 10 to 90 degrees two-theta, in order of rising 2θ:
2θ/deg  I/Imax
18.21  100.0
34.95  14.6
36.16  13.0
36.97  14.4
41.78  30.5
43.68  26.8
45.05  24.0
62.40  7.7

```
Li7Mn2Co3O12
1.0
4.9745 0.0000 0.0000
-2.3563 4.4664 0.0000
-0.4257 -1.1888 9.7409
Li Mn Co O
7 2 3 12
direct
0.0000 0.0000 0.0000 Li
0.0605 0.3773 0.2244 Li
0.2557 0.2592 0.7747 Li
0.4084 0.0827 0.2328 Li
0.6069 0.9287 0.7711 Li
0.7341 0.7392 0.2235 Li
0.9233 0.5963 0.7698 Li
0.1646 0.8302 0.4992 Mn
0.8291 0.1687 0.5000 Mn
0.3358 0.6738 0.0021 Co
0.4990 0.4968 0.4997 Co
0.6654 0.3126 0.9970 Co
0.0637 0.6938 0.1164 O
0.1457 0.1444 0.3950 O
0.1818 0.5173 0.6030 O
0.3007 0.9462 0.8841 O
0.3948 0.3911 0.1126 O
0.4846 0.8078 0.3972 O
0.5521 0.2260 0.6119 O
0.5897 0.6144 0.8863 O
0.6959 0.0375 0.1197 O
0.7775 0.4342 0.3874 O
0.8479 0.8567 0.6041 O
0.9401 0.2963 0.8776 O
```

Calculated powder diffractogram of Li4MnCo2O7 for Cu Kα, from DFT lattice parameters and positions (GGA+U).

Most intense lines, 10 to 90 degrees two-theta, in order of rising 2θ:
2θ/deg  I/Imax
18.33  100.0
33.78  21.9
36.64  11.8
36.91  14.7
40.44  36.9
44.59  26.5
45.07  25.0
61.94  17.2

```
Li4MnCo2O7
1.0
4.9957 0.0000 0.0000
1.4276 4.8497 0.0000
1.7317 0.6521 10.5406
Li Mn Co O
8 2 4 14
direct
0.0000 0.0000 0.0000 Li
0.0655 0.4986 0.8608 Li
0.2136 0.5013 0.5730 Li
0.3592 0.4965 0.2847 Li
0.5000 0.5000 0.0000 Li
0.6408 0.5035 0.7153 Li
0.7864 0.4987 0.4270 Li
0.9345 0.5014 0.1392 Li
0.2894 0.9984 0.4258 Mn
0.7106 0.0016 0.5742 Mn
0.1402 0.0014 0.7181 Co
0.4322 0.9911 0.1347 Co
0.5678 0.0089 0.8653 Co
0.8598 0.9986 0.2819 Co
0.0369 0.7695 0.4182 O
0.0958 0.2306 0.2890 O
0.2073 0.7722 0.1424 O
0.2712 0.2324 0.0050 O
0.3377 0.7827 0.8471 O
0.3801 0.2314 0.7240 O
0.4715 0.7646 0.5631 O
0.5285 0.2354 0.4369 O
0.6199 0.7686 0.2760 O
0.6623 0.2173 0.1529 O
0.7288 0.7676 0.9950 O
0.7927 0.2278 0.8576 O
0.9042 0.7694 0.7110 O
0.9631 0.2305 0.5818 O
```

Calculated powder diffractogram of Li3MnCoO5 for Cu Kα, from DFT lattice parameters and positions (GGA+U).

Most intense lines, 10 to 90 degrees two-theta, in order of rising 2θ:
2θ/deg  I/Imax
18.17  100.0
35.92  22.6
36.15  12.2
43.13  55.8
44.07  25.2
56.62  11.4
63.13  14.2
63.61  13.0

```
Li3MnCoO5
1.0
6.3605 -1.4604 0.0000
6.3605 1.4604 0.0000
-1.7652 0.0000 9.7358
Li Mn Co O
6 2 2 10
direct
0.0000 0.0000 0.0000 Li
0.2039 0.2039 0.6248 Li
0.4085 0.4085 0.2244 Li
0.5042 0.5042 0.5172 Li
0.5996 0.5996 0.7996 Li
0.8184 0.8184 0.4374 Li
0.1006 0.1006 0.3212 Mn
0.7065 0.7065 0.1172 Mn
0.3080 0.3080 0.9086 Co
0.9159 0.9159 0.7049 Co
0.0506 0.0506 0.6686 O
0.1614 0.1614 0.9903 O
0.2456 0.2456 0.2481 O
0.3540 0.3540 0.5761 O
0.4514 0.4514 0.8640 O
0.5680 0.5680 0.1791 O
0.6511 0.6511 0.4409 O
0.7590 0.7590 0.7781 O
0.8432 0.8432 0.0611 O
0.9668 0.9668 0.3570 O
```

Calculated powder diffractogram of Li4MnCo2O7 for Cu Kα, from DFT lattice parameters and positions (GGA+U).

Most intense lines, 10 to 90 degrees two-theta, in order of rising 2θ:
2θ/deg  I/Imax
18.03  100.0
34.46  18.1
36.40  24.1
41.33  33.6
44.03  53.6
46.98  10.5
61.72  16.3
62.22  16.4

```
Li4MnCo2O7
1.0
2.6253 -1.4314 0.0000
2.6253 1.4314 0.0000
-1.9578 0.0000 34.4472
Li Mn Co O
8 2 4 14
direct
0.0000 0.0000 0.0000 Li
0.0029 0.0029 0.5013 Li
0.1400 0.1400 0.2133 Li
0.2921 0.2921 0.9302 Li
0.4249 0.4249 0.6412 Li
0.5689 0.5689 0.3561 Li
0.7058 0.7058 0.0698 Li
0.8597 0.8597 0.7874 Li
0.1416 0.1416 0.7143 Mn
0.2858 0.2858 0.4284 Mn
0.4256 0.4256 0.1435 Co
0.5737 0.5737 0.8566 Co
0.7137 0.7137 0.5712 Co
0.8564 0.8564 0.2851 Co
0.0610 0.0610 0.1141 O
0.0641 0.0641 0.6042 O
0.2003 0.2003 0.8249 O
0.2109 0.2109 0.3176 O
0.3585 0.3585 0.0374 O
0.3630 0.3630 0.5383 O
0.5033 0.5033 0.2530 O
0.5203 0.5203 0.7476 O
0.6402 0.6402 0.9626 O
0.6643 0.6643 0.4614 O
0.7636 0.7636 0.6813 O
0.7989 0.7989 0.1752 O
0.9058 0.9058 0.3950 O
0.9379 0.9379 0.8860 O
```

Calculated powder diffractogram of Li4Mn3CoO8 for Cu Kα, from DFT lattice parameters and positions (GGA+U).

Most intense lines, 10 to 90 degrees two-theta, in order of rising 2θ:
2θ/deg  I/Imax
18.10  100.0
33.05  21.3
35.89  12.8
36.31  16.5
39.51  35.2
43.84  25.2
44.44  24.0
60.81  16.0

```
Li4Mn3CoO8
1.0
3.0930 0.0000 0.0000
1.4813 6.3157 0.0000
0.7597 -0.0779 7.8657
Li Mn Co O
4 3 1 8
direct
0.2381 0.1263 0.3788 Li
0.2405 0.6297 0.8765 Li
0.7595 0.3703 0.1235 Li
0.7619 0.8737 0.6212 Li
0.0181 0.7505 0.2470 Mn
0.5000 0.5000 0.5000 Mn
0.9819 0.2495 0.7530 Mn
0.5000 0.0000 0.0000 Co
0.0797 0.9547 0.8225 O
0.1516 0.4528 0.3150 O
0.3434 0.2962 0.9367 O
0.3600 0.7984 0.4340 O
0.6400 0.2016 0.5660 O
0.6566 0.7038 0.0633 O
0.8484 0.5472 0.6850 O
0.9203 0.0453 0.1775 O
```